1.
The following is a theoretical X-ray powder pattern of Tl12In7Pb. It was derived from a cell relaxed with GGA-PBE, using λ = 1.5418 Å (Cu Kα).
Lines closer than 0.1° are merged.

Cell and atoms:
```
data_Tl12In7Pb
_symmetry_space_group_name_H-M 'R -3 m'
_symmetry_Int_Tables_number 166
_symmetry_space_group_name_Hall '-R 3 2"'
_cell_length_a 13.3899
_cell_length_b 13.3899
_cell_length_c 11.6870
_cell_angle_alpha 90.00
_cell_angle_beta 90.00
_cell_angle_gamma 120.00
loop_
_atom_site_label
_atom_site_fract_x
_atom_site_fract_y
_atom_site_fract_z
_atom_site_occupancy
Tl1 0.0000 0.2609 0.0000 1
Tl2 0.0558 0.5279 0.1222 1
In1 0.0000 0.0000 0.5000 1
In2 0.0827 0.1655 0.7513 1
Pb1 0.0000 0.0000 0.0000 1
```

Peak list (6 most intense, 5° ≤ 2θ ≤ 70°, low angle first)
index	2theta	I_rel
1 0 4	31.6	28
4 0 1	31.8	100
0 3 3	32.6	41
0 4 2	34.6	47
4 4 0	54.8	16
4 3 4	57.7	15

***

2.
The following is a theoretical X-ray powder pattern of Rb5Ga2Sn4. It was derived from a cell relaxed with GGA-PBE, using λ = 1.5418 Å (Cu Kα).
Lines closer than 0.1° are merged.

Cell and atoms:
```
data_Rb5Ga2Sn4
_symmetry_space_group_name_H-M 'I m m m'
_symmetry_Int_Tables_number 71
_symmetry_space_group_name_Hall '-I 2 2'
_cell_length_a 4.0326
_cell_length_b 10.5417
_cell_length_c 21.7109
_cell_angle_alpha 90.00
_cell_angle_beta 90.00
_cell_angle_gamma 90.00
loop_
_atom_site_label
_atom_site_fract_x
_atom_site_fract_y
_atom_site_fract_z
_atom_site_occupancy
Rb1 0.0000 0.0000 0.0000 1
Rb2 0.0000 0.2817 0.3392 1
Ga1 0.0000 0.5000 0.0721 1
Sn1 0.0000 0.1447 0.5000 1
Sn2 0.0000 0.5000 0.1988 1
```

Peak list (6 most intense, 5° ≤ 2θ ≤ 70°, low angle first)
index	2theta	I_rel
0 1 1	9.3	67
0 0 6	24.6	27
1 1 2	25.0	36
0 3 3	28.2	100
1 0 7	36.5	27
1 1 8	41.0	25

***

3.
The following is a theoretical X-ray powder pattern of Be17VCu. It was derived from a cell relaxed with GGA-PBE, using λ = 1.5418 Å (Cu Kα).
Lines closer than 0.1° are merged.

Cell and atoms:
```
data_Be17VCu
_symmetry_space_group_name_H-M 'R 3 m'
_symmetry_Int_Tables_number 160
_symmetry_space_group_name_Hall 'R 3 -2"'
_cell_length_a 7.2257
_cell_length_b 7.2257
_cell_length_c 10.7653
_cell_angle_alpha 90.00
_cell_angle_beta 90.00
_cell_angle_gamma 120.00
loop_
_atom_site_label
_atom_site_fract_x
_atom_site_fract_y
_atom_site_fract_z
_atom_site_occupancy
Be1 0.0000 0.0000 0.0589 1
Be2 0.0000 0.0000 0.2611 1
Be3 0.0074 0.5037 0.3165 1
Be4 0.0272 0.3563 0.8266 1
Be5 0.1684 0.3368 0.3333 1
Be6 0.1726 0.3453 0.9998 1
V1 0.0000 0.0000 0.4927 1
Cu1 0.0000 0.0000 0.7801 1
```

Peak list (6 most intense, 5° ≤ 2θ ≤ 70°, low angle first)
index	2theta	I_rel
1 0 1	16.4	100
1 1 0	24.6	90
1 1 3	35.3	90
1 0 4	36.3	44
3 0 0	43.4	47
2 2 0	50.6	99

***

4.
The following is a theoretical X-ray powder pattern of MgCuSi. It was derived from a cell relaxed with GGA-PBE, using λ = 1.5418 Å (Cu Kα).
Lines closer than 0.1° are merged.

Cell and atoms:
```
data_MgCuSi
_symmetry_space_group_name_H-M 'P -6 m 2'
_symmetry_Int_Tables_number 187
_symmetry_space_group_name_Hall 'P -6 2'
_cell_length_a 4.1070
_cell_length_b 4.1070
_cell_length_c 3.1913
_cell_angle_alpha 90.00
_cell_angle_beta 90.00
_cell_angle_gamma 120.00
loop_
_atom_site_label
_atom_site_fract_x
_atom_site_fract_y
_atom_site_fract_z
_atom_site_occupancy
Mg1 0.0000 0.0000 0.0000 1
Cu1 0.3333 0.6667 0.5000 1
Si1 0.6667 0.3333 0.5000 1
```

Peak list (6 most intense, 5° ≤ 2θ ≤ 70°, low angle first)
index	2theta	I_rel
1 0 0	25.0	38
0 0 1	28.0	29
1 0 1	37.9	100
1 1 0	44.1	71
1 1 1	53.0	27
2 0 1	59.5	25